# Ho3Pb7
Simulated powder diffractogram, CuKα. Input: a structure optimized by DFT (GGA-PBE).

Atomic structure:
Cell: 10.0727 10.0727 6.9139 Å, 90.00 90.00 120.00°
Fractional positions:
Ho1 0.2103 0.4206 0.0000
Ho2 0.2103 0.7897 0.0000
Ho3 0.4206 0.2103 0.5000
Ho4 0.5794 0.7897 0.0000
Ho5 0.7897 0.2103 0.5000
Ho6 0.7897 0.5794 0.5000
Pb1 0.0547 0.5274 0.3179
Pb2 0.1220 0.2440 0.5060
Pb3 0.1220 0.8780 0.5060
Pb4 0.2440 0.1220 0.0060
Pb5 0.3333 0.6667 0.6510
Pb6 0.4726 0.5274 0.3179
Pb7 0.4726 0.9453 0.3179
Pb8 0.5274 0.0547 0.8179
Pb9 0.5274 0.4726 0.8179
Pb10 0.6667 0.3333 0.1510
Pb11 0.7560 0.8780 0.5060
Pb12 0.8780 0.1220 0.0060
Pb13 0.8780 0.7560 0.0060
Pb14 0.9453 0.4726 0.8179

Largest 10 diffraction maxima, most intense first, 2θ from 10° to 90°:
(hkl)	2θ/deg	intensity
3 0 1	33.43	100.0
2 0 2	33.06	64.4
2 1 1	30.03	52.6
3 2 3	61.36	32.8
2 2 0	35.65	28.6
3 0 2	40.52	25.8
1 0 2	27.76	22.6
3 3 0	54.67	18.7
3 0 0	30.75	16.6
4 1 1	49.68	13.3